Diffraction record for Tb3PrTl3. The powder diffraction line list is computed, not measured: it uses DFT lattice parameters and positions (PBE) and a wavelength of 1.5418 Å.
Kinematic intensities with the Lorentz-polarization factor, no thermal factor.

Peak list (6 most intense, 15° ≤ 2θ ≤ 90°, low angle first)
- 29.88°, I 100.0
- 35.52°, I 67.9
- 42.77°, I 17.8
- 49.13°, I 18.7
- 60.34°, I 29.2
- 73.61°, I 17.5

Cell lengths 9.4558, 9.4558, 9.4558 Å; angles 90.00, 90.00, 90.00 degrees
Sites, in units of the cell vectors:
Tb1 0.0795 0.4205 0.5795
Tb2 0.1784 0.8216 0.3216
Tb3 0.1794 0.1794 0.1794
Tb4 0.3206 0.8206 0.6794
Tb5 0.3216 0.1784 0.8216
Tb6 0.4205 0.5795 0.0795
Tb7 0.5795 0.0795 0.4205
Tb8 0.6784 0.6784 0.6784
Tb9 0.6794 0.3206 0.8206
Tb10 0.8206 0.6794 0.3206
Tb11 0.8216 0.3216 0.1784
Tb12 0.9205 0.9205 0.9205
Pr1 0.0716 0.5716 0.9284
Pr2 0.4284 0.4284 0.4284
Pr3 0.5716 0.9284 0.0716
Pr4 0.9284 0.0716 0.5716
Tl1 0.9995 0.2426 0.8835
Tl2 0.0005 0.7426 0.6165
Tl3 0.1165 0.4995 0.2574
Tl4 0.2426 0.8835 0.9995
Tl5 0.2574 0.1165 0.4995
Tl6 0.3835 0.5005 0.7574
Tl7 0.4995 0.2574 0.1165
Tl8 0.5005 0.7574 0.3835
Tl9 0.6165 0.0005 0.7426
Tl10 0.7426 0.6165 0.0005
Tl11 0.7574 0.3835 0.5005
Tl12 0.8835 0.9995 0.2426



Diffraction record for TbPrTm2Tl4. The powder diffraction line list is computed, not measured: it uses DFT lattice parameters and positions (PBE) and a wavelength of 1.5418 Å.
Kinematic intensities with the Lorentz-polarization factor, no thermal factor.

Peak list (6 most intense, 15° ≤ 2θ ≤ 90°, low angle first)
- 33.19°, I 100.0
- 47.65°, I 18.4
- 59.16°, I 9.6
- 59.36°, I 28.9
- 79.32°, I 8.3
- 79.47°, I 8.4

Cell lengths 9.3705, 9.3705, 9.3705 Å; angles 33.43, 33.43, 33.43 degrees
Sites, in units of the cell vectors:
Tb1 0.0000 0.0000 0.0000
Pr1 0.5000 0.5000 0.5000
Tm1 0.2504 0.2504 0.2504
Tm2 0.7496 0.7496 0.7496
Tl1 0.1232 0.1232 0.1232
Tl2 0.3734 0.3734 0.3734
Tl3 0.6266 0.6266 0.6266
Tl4 0.8768 0.8768 0.8768



Diffraction record for Tb7Pr2Tm2. The powder diffraction line list is computed, not measured: it uses DFT lattice parameters and positions (PBE) and a wavelength of 1.5418 Å.
Kinematic intensities with the Lorentz-polarization factor, no thermal factor.

Peak list (6 most intense, 15° ≤ 2θ ≤ 90°, low angle first)
- 25.47°, I 22.9
- 30.82°, I 27.9
- 31.20°, I 48.1
- 31.61°, I 28.1
- 31.83°, I 100.0
- 33.81°, I 67.4

Cell lengths 8.0705, 8.0705, 6.0554 Å; angles 106.10, 106.10, 90.53 degrees
Sites, in units of the cell vectors:
Tb1 0.0000 0.0000 0.0000
Tb2 0.0584 0.5900 0.8246
Tb3 0.4100 0.9416 0.1754
Tb4 0.4155 0.4155 0.1995
Tb5 0.5845 0.5845 0.8005
Tb6 0.5900 0.0584 0.8246
Tb7 0.9416 0.4100 0.1754
Pr1 0.2292 0.2292 0.5948
Pr2 0.7708 0.7708 0.4052
Tm1 0.2198 0.7802 0.5000
Tm2 0.7802 0.2198 0.5000



Diffraction record for Tb3Pr2Tm8. The powder diffraction line list is computed, not measured: it uses DFT lattice parameters and positions (PBE) and a wavelength of 1.5418 Å.
Kinematic intensities with the Lorentz-polarization factor, no thermal factor.

Peak list (6 most intense, 15° ≤ 2θ ≤ 90°, low angle first)
- 24.99°, I 15.4
- 29.45°, I 27.7
- 30.56°, I 27.7
- 32.68°, I 36.4
- 33.52°, I 100.0
- 58.86°, I 20.0

Cell lengths 11.0482, 11.0482, 5.4805 Å; angles 90.00, 90.00, 139.83 degrees
Sites, in units of the cell vectors:
Tb1 0.0000 0.0000 0.0000
Tb2 0.2890 0.2890 0.5000
Tb3 0.7110 0.7110 0.5000
Pr1 0.2400 0.7600 0.0000
Pr2 0.7600 0.2400 0.0000
Tm1 0.1268 0.8732 0.5000
Tm2 0.1797 0.3940 0.0000
Tm3 0.3399 0.6601 0.5000
Tm4 0.3940 0.1797 0.0000
Tm5 0.6060 0.8203 0.0000
Tm6 0.6601 0.3399 0.5000
Tm7 0.8203 0.6060 0.0000
Tm8 0.8732 0.1268 0.5000



Repeat the fourth record exactly.
Diffraction record for Tb3Pr2Tm8. The powder diffraction line list is computed, not measured: it uses DFT lattice parameters and positions (PBE) and a wavelength of 1.5418 Å.
Kinematic intensities with the Lorentz-polarization factor, no thermal factor.

Peak list (6 most intense, 15° ≤ 2θ ≤ 90°, low angle first)
- 24.99°, I 15.4
- 29.45°, I 27.7
- 30.56°, I 27.7
- 32.68°, I 36.4
- 33.52°, I 100.0
- 58.86°, I 20.0

Cell lengths 11.0482, 11.0482, 5.4805 Å; angles 90.00, 90.00, 139.83 degrees
Sites, in units of the cell vectors:
Tb1 0.0000 0.0000 0.0000
Tb2 0.2890 0.2890 0.5000
Tb3 0.7110 0.7110 0.5000
Pr1 0.2400 0.7600 0.0000
Pr2 0.7600 0.2400 0.0000
Tm1 0.1268 0.8732 0.5000
Tm2 0.1797 0.3940 0.0000
Tm3 0.3399 0.6601 0.5000
Tm4 0.3940 0.1797 0.0000
Tm5 0.6060 0.8203 0.0000
Tm6 0.6601 0.3399 0.5000
Tm7 0.8203 0.6060 0.0000
Tm8 0.8732 0.1268 0.5000



What did the first record say?
Diffraction record for Tb3PrTl3. The powder diffraction line list is computed, not measured: it uses DFT lattice parameters and positions (PBE) and a wavelength of 1.5418 Å.
Kinematic intensities with the Lorentz-polarization factor, no thermal factor.

Peak list (6 most intense, 15° ≤ 2θ ≤ 90°, low angle first)
- 29.88°, I 100.0
- 35.52°, I 67.9
- 42.77°, I 17.8
- 49.13°, I 18.7
- 60.34°, I 29.2
- 73.61°, I 17.5

Cell lengths 9.4558, 9.4558, 9.4558 Å; angles 90.00, 90.00, 90.00 degrees
Sites, in units of the cell vectors:
Tb1 0.0795 0.4205 0.5795
Tb2 0.1784 0.8216 0.3216
Tb3 0.1794 0.1794 0.1794
Tb4 0.3206 0.8206 0.6794
Tb5 0.3216 0.1784 0.8216
Tb6 0.4205 0.5795 0.0795
Tb7 0.5795 0.0795 0.4205
Tb8 0.6784 0.6784 0.6784
Tb9 0.6794 0.3206 0.8206
Tb10 0.8206 0.6794 0.3206
Tb11 0.8216 0.3216 0.1784
Tb12 0.9205 0.9205 0.9205
Pr1 0.0716 0.5716 0.9284
Pr2 0.4284 0.4284 0.4284
Pr3 0.5716 0.9284 0.0716
Pr4 0.9284 0.0716 0.5716
Tl1 0.9995 0.2426 0.8835
Tl2 0.0005 0.7426 0.6165
Tl3 0.1165 0.4995 0.2574
Tl4 0.2426 0.8835 0.9995
Tl5 0.2574 0.1165 0.4995
Tl6 0.3835 0.5005 0.7574
Tl7 0.4995 0.2574 0.1165
Tl8 0.5005 0.7574 0.3835
Tl9 0.6165 0.0005 0.7426
Tl10 0.7426 0.6165 0.0005
Tl11 0.7574 0.3835 0.5005
Tl12 0.8835 0.9995 0.2426